For Sr3PdN, a PBE-relaxed structure gives the computed powder diffractogram in this record (Cu Kα (λ = 1.5418 Å)).

Cell and atoms:
Unit cell a=6.992 b=6.993 c=7.958 alpha=89.97 beta=63.97 gamma=60.01
Positions (direct):
Sr1 0.031 0.036 0.277
Sr2 0.259 0.433 0.278
Sr3 0.345 0.192 0.722
Sr4 0.655 0.808 0.278
Sr5 0.741 0.567 0.722
Sr6 0.969 0.964 0.723
Pd1 0.214 0.643 0.929
Pd2 0.786 0.357 0.071
N1 0.175 0.163 0.487
N2 0.825 0.837 0.513

Top 10 peaks for 10° ≤ 2θ ≤ 80°, low angle first:
2θ (°), I_rel
16.99, 142
22.67, 136
28.65, 1000
29.83, 218
33.88, 129
34.36, 125
36.70, 432
43.26, 135
44.90, 263
47.50, 159